Diffraction record for Mn3TeO6. The powder diffractogram is simulated, not measured: it uses a PBE+U-relaxed structure and Cu Kα.

Structural model:
Lattice parameters (Å, degrees): 5.4324 5.4324 14.2917 90.00 90.00 120.00
Space group R3 (No. 146, hexagonal axes)
Asymmetric unit:
Mn1 0.0000 0.0000 0.0000 x3
Mn2 0.0000 0.0000 0.2174 x3
Mn3 0.0000 0.0000 0.7255 x3
Te1 0.0000 0.0000 0.5124 x3
O1 0.0139 0.2901 0.5998 x9
O2 0.0461 0.7056 0.1082 x9

Largest 10 diffraction maxima, in order of rising 2θ, 2θ from 5° to 70°:
2θ/deg	d (Å)	Rel. int.	(hkl)
18.6	4.764	14	0 0 3
19.9	4.469	28	1 0 1
22.6	3.929	46	0 1 2
31.4	2.845	100	1 0 4
33.0	2.716	87	1 1 0
38.1	2.360	21	2 -1 3
46.2	1.965	44	0 2 4
51.0	1.791	43	2 -1 6
57.9	1.592	38	3 -1 4
58.9	1.568	32	3 0 0